[1]
# Sm4CoPd3
Calculated powder diffractogram, copper Kα. Input: a DFT-relaxed cell (GGA-PBE, Alexandria).
Neutral-atom scattering factors, no anomalous dispersion.

Top 10 peaks for 10 to 90 degrees two-theta, sorted by position:
2θ/deg	d (Å)	I (rel.)
31.8	2.815	100
33.7	2.661	28
34.5	2.600	25
39.3	2.293	19
39.9	2.262	31
40.0	2.254	59
47.6	1.911	19
53.1	1.723	15
63.8	1.460	15
80.1	1.198	15

Cell and atoms:
abc: 3.822 4.524 10.642
angles: 90.00 90.00 90.00
Positions (direct):
Sm 0.000 0.000 0.000
Sm 0.000 0.500 0.265
Sm 0.500 0.000 0.477
Sm 0.500 0.500 0.765
Co 0.500 0.000 0.212
Pd 0.000 0.000 0.713
Pd 0.000 0.500 0.544
Pd 0.500 0.500 0.048

[2]
# Sm3CoPd
Calculated powder diffractogram, copper Kα. Input: a DFT-relaxed cell (GGA-PBE, Alexandria).
Neutral-atom scattering factors, no anomalous dispersion.

Top 10 peaks for 10 to 90 degrees two-theta, sorted by position:
2θ/deg	d (Å)	I (rel.)
28.0	3.187	33
31.6	2.835	69
32.1	2.787	79
32.2	2.777	84
33.9	2.646	20
37.0	2.427	100
44.5	2.037	33
51.8	1.764	36
61.1	1.517	23
61.3	1.513	26

Cell and atoms:
abc: 6.079 6.079 8.148
angles: 109.80 109.80 63.24
Positions (direct):
Sm 0.007 0.007 0.223
Sm 0.302 0.302 0.659
Sm 0.314 0.314 0.149
Sm 0.686 0.686 0.851
Sm 0.698 0.698 0.341
Sm 0.993 0.993 0.777
Co 0.320 0.680 0.000
Co 0.680 0.320 0.000
Pd 0.281 0.719 0.500
Pd 0.719 0.281 0.500

[3]
# Sm8CoPd2
Calculated powder diffractogram, copper Kα. Input: a DFT-relaxed cell (GGA-PBE, Alexandria).
Neutral-atom scattering factors, no anomalous dispersion.

Top 10 peaks for 10 to 90 degrees two-theta, sorted by position:
2θ/deg	d (Å)	I (rel.)
28.6	3.121	45
31.4	2.845	100
31.9	2.804	42
33.0	2.717	23
33.3	2.687	34
35.0	2.565	57
36.9	2.434	15
37.6	2.390	24
57.5	1.602	15
65.1	1.432	15

Cell and atoms:
abc: 9.108 9.108 6.852
angles: 102.02 102.02 32.71
Positions (direct):
Sm 0.031 0.031 0.287
Sm 0.203 0.203 0.825
Sm 0.339 0.339 0.528
Sm 0.412 0.412 0.060
Sm 0.588 0.588 0.940
Sm 0.661 0.661 0.472
Sm 0.797 0.797 0.175
Sm 0.969 0.969 0.713
Co 0.500 0.500 0.500
Pd 0.194 0.194 0.236
Pd 0.806 0.806 0.764

[4]
# SmThCoPd
Calculated powder diffractogram, copper Kα. Input: a DFT-relaxed cell (GGA-PBE, Alexandria).
Neutral-atom scattering factors, no anomalous dispersion.

Top 10 peaks for 10 to 90 degrees two-theta, sorted by position:
2θ/deg	d (Å)	I (rel.)
27.0	3.307	31
30.9	2.898	42
32.8	2.727	41
33.1	2.706	100
38.3	2.352	17
39.9	2.258	57
45.0	2.014	23
47.2	1.924	20
51.3	1.781	17
56.8	1.620	18

Cell and atoms:
abc: 4.028 3.849 11.590
angles: 90.00 90.00 90.00
Positions (direct):
Sm 0.000 0.000 0.000
Sm 0.000 0.500 0.500
Th 0.500 0.000 0.279
Th 0.500 0.500 0.779
Co 0.000 0.000 0.749
Co 0.000 0.500 0.249
Pd 0.500 0.000 0.570
Pd 0.500 0.500 0.070

[5]
# SmZrCoPd
Calculated powder diffractogram, copper Kα. Input: a DFT-relaxed cell (GGA-PBE, Alexandria).
Neutral-atom scattering factors, no anomalous dispersion.

Top 10 peaks for 10 to 90 degrees two-theta, sorted by position:
2θ/deg	d (Å)	I (rel.)
22.7	3.918	7
26.3	3.393	4
37.5	2.399	100
44.3	2.046	4
54.1	1.697	17
59.4	1.557	2
61.1	1.517	2
67.6	1.385	34
80.0	1.200	11
84.5	1.147	1

Cell and atoms:
abc: 6.786 6.786 6.786
angles: 90.00 90.00 90.00
Positions (direct):
Sm 0.000 0.000 0.000
Sm 0.000 0.500 0.500
Sm 0.500 0.000 0.500
Sm 0.500 0.500 0.000
Zr 0.000 0.000 0.500
Zr 0.000 0.500 0.000
Zr 0.500 0.000 0.000
Zr 0.500 0.500 0.500
Co 0.250 0.250 0.750
Co 0.250 0.750 0.250
Co 0.750 0.250 0.250
Co 0.750 0.750 0.750
Pd 0.250 0.250 0.250
Pd 0.250 0.750 0.750
Pd 0.750 0.250 0.750
Pd 0.750 0.750 0.250

[6]
# CoSn3Pd
Calculated powder diffractogram, copper Kα. Input: a DFT-relaxed cell (GGA-PBE, Alexandria).
Neutral-atom scattering factors, no anomalous dispersion.

Top 10 peaks for 10 to 90 degrees two-theta, sorted by position:
2θ/deg	d (Å)	I (rel.)
30.4	2.944	43
32.9	2.724	55
34.5	2.597	100
35.9	2.500	30
39.8	2.264	35
40.5	2.229	34
42.8	2.113	81
45.3	2.002	56
61.6	1.506	34
76.7	1.243	30

Cell and atoms:
abc: 8.083 8.083 3.411
angles: 90.00 90.00 111.87
Positions (direct):
Co 0.000 0.500 0.000
Co 0.500 0.000 0.000
Sn 0.163 0.837 0.000
Sn 0.186 0.409 0.500
Sn 0.409 0.186 0.500
Sn 0.591 0.814 0.500
Sn 0.814 0.591 0.500
Sn 0.837 0.163 0.000
Pd 0.000 0.000 0.500
Pd 0.500 0.500 0.000